No. 1
Simulated powder X-ray diffraction pattern of YHf3C2Se2 for Cu Kα, from a DFT-relaxed cell (GGA-PBE, OQMD).

Top 10 peaks for 2θ from 10° to 90°, low angle first:
2θ 29.5, intensity 28, (1 0 0)
2θ 30.4, intensity 12, (0 1 1)
2θ 36.4, intensity 100, (1 0 3)
2θ 41.1, intensity 9, (1 0 4)
2θ 42.5, intensity 11, (0 0 6)
2θ 52.4, intensity 26, (1 1 0)
2θ 52.6, intensity 11, (0 1 6)
2θ 65.5, intensity 18, (0 2 3)
2θ 69.6, intensity 16, (1 1 6)
2θ 88.5, intensity 17, (2 1 3)

```
data_YHf3C2Se2
_symmetry_space_group_name_H-M 'P 3 m 1'
_symmetry_Int_Tables_number 156
_symmetry_space_group_name_Hall 'P 3 -2"'
_cell_length_a 3.4933
_cell_length_b 3.4933
_cell_length_c 12.7723
_cell_angle_alpha 90.00
_cell_angle_beta 90.00
_cell_angle_gamma 120.00
loop_
_atom_site_label
_atom_site_type_symbol
_atom_site_fract_x
_atom_site_fract_y
_atom_site_fract_z
Y1 Y 0.0000 0.0000 0.0000
Hf1 Hf 0.0000 0.0000 0.3128
Hf2 Hf 0.3333 0.6667 0.4966
Hf3 Hf 0.3333 0.6667 0.7996
C1 C 0.6667 0.3333 0.4051
C2 C 0.6667 0.3333 0.8846
Se1 Se 0.0000 0.0000 0.6468
Se2 Se 0.3333 0.6667 0.1666
```

***

No. 2
Simulated powder X-ray diffraction pattern of HfZr3C2Se2 for Cu Kα, from a DFT-relaxed cell (GGA-PBE, OQMD).

Top 10 peaks for 2θ from 10° to 90°, low angle first:
2θ 29.7, intensity 28, (1 0 0)
2θ 30.6, intensity 7, (1 0 1)
2θ 36.8, intensity 100, (0 1 3)
2θ 43.0, intensity 12, (0 0 6)
2θ 52.8, intensity 25, (1 1 0)
2θ 53.2, intensity 12, (1 0 6)
2θ 66.0, intensity 18, (2 0 3)
2θ 70.4, intensity 16, (1 1 6)
2θ 74.7, intensity 9, (0 1 9)
2θ 89.4, intensity 16, (1 2 3)

```
data_HfZr3C2Se2
_symmetry_space_group_name_H-M 'P 3 m 1'
_symmetry_Int_Tables_number 156
_symmetry_space_group_name_Hall 'P 3 -2"'
_cell_length_a 3.4691
_cell_length_b 3.4691
_cell_length_c 12.6186
_cell_angle_alpha 90.00
_cell_angle_beta 90.00
_cell_angle_gamma 120.00
loop_
_atom_site_label
_atom_site_type_symbol
_atom_site_fract_x
_atom_site_fract_y
_atom_site_fract_z
Hf1 Hf 0.0000 0.0000 0.0000
Zr1 Zr 0.0000 0.0000 0.3087
Zr2 Zr 0.3333 0.6667 0.5010
Zr3 Zr 0.3333 0.6667 0.8101
C1 C 0.6667 0.3333 0.4047
C2 C 0.6667 0.3333 0.9095
Se1 Se 0.0000 0.0000 0.6557
Se2 Se 0.3333 0.6667 0.1519
```